The following is a theoretical X-ray powder pattern of KCaPrWO6. It was derived from a GGA+U-relaxed structure, using Cu Kα (weighted mean of Kα1 and Kα2).
No peak broadening, texture or thermal motion is included.

Main lines, low angle first (5° ≤ 2θ ≤ 70°):
Position (°2θ)	Rel. int.
18.4	51
21.3	5
30.3	100
35.7	27
43.5	33
47.6	11
53.9	39
57.5	11
63.1	20
66.4	10

Atomic structure:
Unit cell a=5.8904 b=5.8904 c=5.8904 alpha=60.00 beta=60.00 gamma=60.00
Sites, in units of the cell vectors:
K1 0.0000 0.0000 0.0000
Ca1 0.2500 0.2500 0.2500
Pr1 0.5000 0.5000 0.5000
W1 0.7500 0.7500 0.7500
O1 0.5172 0.5172 0.9828
O2 0.5172 0.9828 0.5172
O3 0.5172 0.9828 0.9828
O4 0.9828 0.5172 0.5172
O5 0.9828 0.5172 0.9828
O6 0.9828 0.9828 0.5172